The following is a theoretical powder X-ray diffraction pattern of Pu4Bi3H4. It was derived from a crystal structure in Alexandria, relaxed with GGA-PBE, using Cu Kα X-rays.
Peak positions follow from Bragg's law for the DFT cell and can differ from measured ones.

Structural model:
Unit cell a=7.626 b=7.626 c=7.626 alpha=90.00 beta=90.00 gamma=90.00
Space group I-43m (No. 217)
Symmetry-distinct sites (fractional):
Pu 0.178 0.178 0.178
Bi 0.000 0.000 0.500
H 0.123 0.123 0.877

The 10 most intense peaks (10° ≤ 2θ ≤ 80°), by intensity:
h k l	2θ/deg	intensity
2 1 1	28.67	100
2 2 0	33.23	72
3 1 0	37.29	42
4 1 1	50.80	40
4 2 0	53.76	23
6 0 0	74.68	21
3 3 2	56.61	20
4 2 2	59.37	18
5 3 0	72.24	17
5 2 1	67.24	14